Diffraction record for BaSrF4. The powder X-ray diffraction pattern is computed, not measured: it uses a crystal structure in Alexandria, relaxed with GGA-PBE and Cu Kα (weighted mean of Kα1 and Kα2).

Unit cell a=7.420 b=7.420 c=7.420 alpha=131.63 beta=131.63 gamma=70.81
Sites, in units of the cell vectors:
Ba 0.375 0.625 0.750
Ba 0.625 0.375 0.250
Sr 0.125 0.875 0.250
Sr 0.875 0.125 0.750
F 0.000 0.234 0.234
F 0.000 0.766 0.766
F 0.234 0.000 0.734
F 0.234 0.500 0.234
F 0.500 0.234 0.734
F 0.500 0.766 0.266
F 0.766 0.000 0.266
F 0.766 0.500 0.766

Top 12 peaks for 2θ = 5–70°, by angle:
| 2θ (°) | I_rel |
| --- | --- |
| 25.42 | 100 |
| 29.38 | 14 |
| 29.54 | 7 |
| 42.04 | 23 |
| 42.15 | 46 |
| 49.77 | 31 |
| 49.97 | 16 |
| 52.21 | 6 |
| 60.96 | 7 |
| 67.13 | 6 |
| 67.30 | 13 |
| 69.14 | 6 |